# Sr3Fe2O4F3
Computed X-ray powder pattern, copper Kα. Input: a DFT-relaxed cell (PBE+U, Alexandria).

Main lines, in order of falling intensity (2θ from 15° to 90°):
two_theta	intensity
30.71	100
31.38	99
44.97	63
55.44	38
40.79	37
37.31	35
44.81	24
65.48	19
59.81	17
74.41	16

Crystal structure
```
data_Sr3Fe2O4F3
_chemical_formula_sum 'Sr6 Fe4 O8 F6'
_symmetry_space_group_name_H-M 'I 4/m m m'
_symmetry_Int_Tables_number 139
_symmetry_space_group_name_Hall '-I 4 2'
_cell_length_a 4.0320
_cell_length_b 4.0320
_cell_length_c 21.0442
_cell_angle_alpha 90.00
_cell_angle_beta 90.00
_cell_angle_gamma 90.00
loop_
_atom_site_label
_atom_site_type_symbol
_atom_site_fract_x
_atom_site_fract_y
_atom_site_fract_z
Sr1 Sr 0.0000 0.0000 0.0000
Sr2 Sr 0.0000 0.0000 0.1719
Fe1 Fe 0.0000 0.0000 0.4013
O1 O 0.0000 0.5000 0.0991
F1 F 0.0000 0.0000 0.2910
F2 F 0.0000 0.0000 0.5000
```